Entry 1:
Starting from a GGA-PBE-relaxed structure, the PXRD pattern of K2I3Br6 was calculated for a wavelength of 1.5418 Å.
No peak broadening, texture or thermal motion is included.

Cell and atoms:
```
data_K2I3Br6
_symmetry_space_group_name_H-M 'C 1 2/c 1'
_symmetry_Int_Tables_number 15
_cell_length_a 11.997
_cell_length_b 10.211
_cell_length_c 17.793
_cell_angle_alpha 90.00
_cell_angle_beta 102.87
_cell_angle_gamma 90.00
loop_
_symmetry_equiv_pos_as_xyz
'x,y,z'
'-x,-y,-z'
'-x,y,-z+1/2'
'x,-y,z+1/2'
'x+1/2,y+1/2,z'
'-x+1/2,-y+1/2,-z'
'-x+1/2,y+1/2,-z+1/2'
'x+1/2,-y+1/2,z+1/2'
loop_
_atom_site_label
_atom_site_fract_x
_atom_site_fract_y
_atom_site_fract_z
K1 0.052 0.246 0.007
I1 0.000 0.478 0.250
I2 0.169 0.049 0.757
Br1 0.062 0.479 0.405
Br2 0.124 0.035 0.601
Br3 0.219 0.058 0.913
```

Main lines, low angle first (2θ = 15–90°):
2θ (°), I (rel.), (hkl)
17.37, 64, 0 2 0
18.11, 24, 0 2 1
24.45, 100, 3 1 -2
34.61, 20, 3 3 -1
35.00, 21, 3 3 -2
35.36, 19, 3 1 4
35.69, 28, 0 2 6
43.89, 28, 3 1 -8



Entry 2:
Starting from a GGA-PBE-relaxed structure, the PXRD pattern of Mg5In2Ga2Ag was calculated for a wavelength of 1.5418 Å.
No peak broadening, texture or thermal motion is included.

Cell and atoms:
```
data_Mg5In2Ga2Ag
_symmetry_space_group_name_H-M 'P 4/m b m'
_symmetry_Int_Tables_number 127
_symmetry_space_group_name_Hall '-P 4 2ab'
_cell_length_a 11.867
_cell_length_b 11.867
_cell_length_c 3.126
_cell_angle_alpha 90.00
_cell_angle_beta 90.00
_cell_angle_gamma 90.00
loop_
_atom_site_label
_atom_site_fract_x
_atom_site_fract_y
_atom_site_fract_z
Mg1 0.000 0.500 0.000
Mg2 0.025 0.199 0.000
In1 0.189 0.689 0.500
Ga1 0.140 0.360 0.500
Ag1 0.000 0.000 0.500
```

Main lines, low angle first (2θ = 15–90°):
2θ (°), I (rel.), (hkl)
21.18, 34, 2 2 0
23.71, 75, 3 1 0
28.55, 32, 0 0 1
31.07, 35, 4 1 0
32.00, 32, 3 3 0
35.82, 44, 2 2 1
37.44, 100, 3 1 1
53.74, 25, 5 3 1